Theoretical powder diffractogram of Na5CrP2O8F2 for Cu Kα X-rays, from a crystal structure in Alexandria, relaxed with PBE+U.

The 10 most intense peaks (10° ≤ 2θ ≤ 90°), by angle:
h k l	two_theta	I (rel.)
0 0 1	13.09	29
0 2 1	23.26	71
1 0 2	28.09	24
2 0 2	32.78	76
2 2 0	33.49	100
3 -1 2	36.94	24
0 4 2	47.56	57
4 2 2	59.42	32
6 0 0	59.84	22
4 -2 4	65.27	27

Crystal structure
Cell: 10.7046 10.7046 6.7637 Å, 90.00 90.00 120.00°
Fractional coordinates of all 54 atoms:
Na (0.0000, 0.0000, 0.0000)
Na (0.0000, 0.0000, 0.5000)
Na (0.0000, 0.5000, 0.0000)
Na (0.1428, 0.8271, 0.2578)
Na (0.1729, 0.3157, 0.2578)
Na (0.3157, 0.1428, 0.7422)
Na (0.3333, 0.6667, 0.0655)
Na (0.3333, 0.6667, 0.5054)
Na (0.5000, 0.0000, 0.0000)
Na (0.5000, 0.5000, 0.0000)
Na (0.6667, 0.3333, 0.4946)
Na (0.6667, 0.3333, 0.9345)
Na (0.6843, 0.8572, 0.2578)
Na (0.8271, 0.6843, 0.7422)
Na (0.8572, 0.1729, 0.7422)
Cr (0.0000, 0.5000, 0.5000)
Cr (0.5000, 0.0000, 0.5000)
Cr (0.5000, 0.5000, 0.5000)
P (0.1830, 0.8137, 0.7497)
P (0.1863, 0.3693, 0.7497)
P (0.3693, 0.1830, 0.2503)
P (0.6307, 0.8170, 0.7497)
P (0.8137, 0.6307, 0.2503)
P (0.8170, 0.1863, 0.2503)
O (0.0741, 0.4212, 0.7119)
O (0.0936, 0.8910, 0.7439)
O (0.1090, 0.2026, 0.7439)
O (0.1382, 0.7038, 0.5735)
O (0.1714, 0.7399, 0.9489)
O (0.2026, 0.0936, 0.2561)
O (0.2601, 0.4315, 0.9489)
O (0.2962, 0.4344, 0.5735)
O (0.3471, 0.9259, 0.7119)
O (0.4212, 0.3471, 0.2881)
O (0.4315, 0.1714, 0.0511)
O (0.4344, 0.1382, 0.4265)
O (0.5656, 0.8618, 0.5735)
O (0.5685, 0.8286, 0.9489)
O (0.5788, 0.6529, 0.7119)
O (0.6529, 0.0741, 0.2881)
O (0.7038, 0.5656, 0.4265)
O (0.7399, 0.5685, 0.0511)
O (0.7974, 0.9064, 0.7439)
O (0.8286, 0.2601, 0.0511)
O (0.8618, 0.2962, 0.4265)
O (0.8910, 0.7974, 0.2561)
O (0.9064, 0.1090, 0.2561)
O (0.9259, 0.5788, 0.2881)
F (0.1398, 0.5167, 0.2964)
F (0.3769, 0.8602, 0.2964)
F (0.4833, 0.6231, 0.2964)
F (0.5167, 0.3769, 0.7036)
F (0.6231, 0.1398, 0.7036)
F (0.8602, 0.4833, 0.7036)